This entry pairs a crystal structure of KLi2Zr with its theoretical powder diffraction line list. Radiation: Cu Ka. Structure: DFT lattice parameters and positions (PBE).

Top 6 peaks for 2θ from 10° to 80°, most intense first:
d 2.583, rel. 100; d 2.801, rel. 73; d 3.858, rel. 59; d 2.892, rel. 37; d 5.787, rel. 34; d 1.806, rel. 30

Atomic structure:
Cell: 3.1655 3.1655 11.5746 Å, 90.00 90.00 114.24°
Fractional coordinates of all 4 atoms:
K 0.0000 0.0000 0.0000
Li 0.0000 0.0000 0.4901
Li 0.5000 0.5000 0.2837
Zr 0.5000 0.5000 0.7070